Calculated X-ray diffraction stick pattern of AcMn2SeO2 for Cu Kα, from a structure optimized by DFT (PBE+U).

Main lines, in order of falling intensity (2θ from 10° to 90°):
- (1 1 0), 2θ = 20.65°, I = 100
- (0 0 2), 2θ = 25.32°, I = 90
- (1 2 -1), 2θ = 34.33°, I = 85
- (2 1 -1), 2θ = 29.96°, I = 73
- (1 2 1), 2θ = 38.31°, I = 69
- (0 1 1), 2θ = 19.86°, I = 56
- (1 0 -1), 2θ = 14.60°, I = 45
- (2 0 -2), 2θ = 29.45°, I = 32
- (1 1 2), 2θ = 36.99°, I = 32
- (1 2 -3), 2θ = 47.58°, I = 30

Structure:
```
data_AcMn2SeO2
_chemical_formula_sum 'Ac2 Mn4 Se2 O4'
_cell_length_a 6.9796
_cell_length_b 5.7886
_cell_length_c 7.6382
_cell_angle_alpha 90.00
_cell_angle_beta 112.91
_cell_angle_gamma 90.00
_space_group_name_H-M_alt 'P 1'
_space_group_IT_number 1
loop_
_space_group_symop_operation_xyz
'x,y,z'
loop_
_atom_site_label
_atom_site_fract_x
_atom_site_fract_y
_atom_site_fract_z
Ac1 0.2252 0.2500 0.2433
Ac2 0.7748 0.7500 0.7567
Mn1 0.2943 0.0041 0.8301
Mn2 0.2943 0.4959 0.8301
Mn3 0.7057 0.5041 0.1699
Mn4 0.7057 0.9959 0.1699
Se1 0.4675 0.7500 0.2973
Se2 0.5325 0.2500 0.7027
O1 0.0901 0.7500 0.7258
O2 0.1367 0.2500 0.9191
O3 0.8633 0.7500 0.0809
O4 0.9099 0.2500 0.2742
```